# Sr2CuHg
Computed powder XRD pattern, Cu Kα, 1.54184 Å. Input: a PBE-relaxed structure.

Atomic structure:
Lattice parameters (Å, degrees): 7.4628 7.4628 7.4628 90.00 90.00 90.00
Fractional coordinates of all 16 atoms:
1 Sr 0.0000 0.0000 0.0000
2 Sr 0.0000 0.5000 0.5000
3 Sr 0.2500 0.2500 0.2500
4 Sr 0.2500 0.7500 0.7500
5 Sr 0.5000 0.0000 0.5000
6 Sr 0.5000 0.5000 0.0000
7 Sr 0.7500 0.2500 0.7500
8 Sr 0.7500 0.7500 0.2500
9 Cu 0.2500 0.2500 0.7500
10 Cu 0.2500 0.7500 0.2500
11 Cu 0.7500 0.2500 0.2500
12 Cu 0.7500 0.7500 0.7500
13 Hg 0.0000 0.0000 0.5000
14 Hg 0.0000 0.5000 0.0000
15 Hg 0.5000 0.0000 0.0000
16 Hg 0.5000 0.5000 0.5000

Largest 10 diffraction maxima, sorted by position, 2θ from 5° to 70°:
20.6 deg, d 4.309, I = 14, hkl 1 1 1; 23.8 deg, d 3.731, I = 10, hkl 2 0 0; 34.0 deg, d 2.638, I = 100, hkl 2 2 0; 40.1 deg, d 2.250, I = 8, hkl 3 1 1; 41.9 deg, d 2.154, I = 3, hkl 2 2 2; 48.8 deg, d 1.866, I = 18, hkl 4 0 0; 53.5 deg, d 1.712, I = 4, hkl 3 3 1; 55.0 deg, d 1.669, I = 5, hkl 4 2 0; 60.8 deg, d 1.523, I = 37, hkl 4 2 2; 64.9 deg, d 1.436, I = 3, hkl 5 1 1